Entry 1:
Starting from a DFT-relaxed cell (GGA-PBE, Alexandria), the XRD peak list of Sr4AgGe was computed for Cu Kα X-rays.

Peak list (10 most intense, 10 to 90 degrees two-theta, low angle first)
2θ (°)  I/Imax  h k l
19.8  42  1 0 1
23.2  11  1 1 0
32.5  100  1 1 2
33.0  48  2 0 0
38.8  15  2 1 1
45.9  9  0 0 4
47.4  17  2 2 0
57.7  18  2 0 4
58.6  36  3 1 2
68.1  11  2 2 4

Structure:
Cell lengths 5.425, 5.425, 7.916 Å; angles 90.00, 90.00, 90.00 degrees
Space group P4/mmm (No. 123)
Unique sites:
1 Sr 0.000 0.500 0.241 (multiplicity 4)
2 Ag 0.000 0.000 0.500 (multiplicity 1)
3 Ge 0.500 0.500 0.000 (multiplicity 1)

---

Entry 2:
Starting from a DFT-relaxed cell (GGA-PBE, Alexandria), the XRD peak list of Sr2ZnAg6Ge was computed for Cu Kα X-rays.

Peak list (10 most intense, 10 to 90 degrees two-theta, low angle first)
2θ (°)  I/Imax  h k l
13.6  57  2 0 -1
27.1  81  3 1 -2
27.4  36  0 0 2
36.6  100  2 2 0
37.4  90  2 2 -2
37.8  91  4 0 0
39.0  42  1 1 -3
39.2  40  5 1 -3
42.0  34  0 2 2
42.1  36  4 2 -2

Structure:
Cell lengths 13.000, 5.722, 8.900 Å; angles 90.00, 132.88, 90.00 degrees
Space group C2/m (No. 12)
Unique sites:
1 Sr 0.246 0.000 0.285 (multiplicity 4)
2 Zn 0.000 0.000 0.500 (multiplicity 2)
3 Ag 0.007 0.251 0.754 (multiplicity 8)
4 Ag 0.248 0.000 0.897 (multiplicity 4)
5 Ge 0.000 0.500 0.000 (multiplicity 2)

---

Entry 3:
Starting from a DFT-relaxed cell (GGA-PBE, Alexandria), the XRD peak list of Ag3Ge4Te8 was computed for Cu Kα X-rays.

Peak list (10 most intense, 10 to 90 degrees two-theta, low angle first)
2θ (°)  I/Imax  h k l
30.5  100  0 4 0
30.6  49  4 0 -2
43.4  19  4 0 0
43.7  73  0 4 2
44.1  18  4 0 -4
53.9  19  4 4 0
54.5  19  4 4 -4
63.4  12  0 0 4
72.0  24  0 8 2
79.9  12  4 8 0

Structure:
Cell lengths 11.694, 11.744, 8.220 Å; angles 90.00, 134.48, 90.00 degrees
Space group C2/m (No. 12)
Unique sites:
1 Ag 0.000 0.000 0.000 (multiplicity 2)
2 Ag 0.250 0.250 0.500 (multiplicity 4)
3 Ge 0.000 0.500 0.000 (multiplicity 2)
4 Ge 0.000 0.500 0.500 (multiplicity 2)
5 Ge 0.250 0.250 0.000 (multiplicity 4)
6 Te 0.000 0.251 0.000 (multiplicity 4)
7 Te 0.000 0.252 0.500 (multiplicity 4)
8 Te 0.244 0.500 0.498 (multiplicity 4)
9 Te 0.249 0.000 0.000 (multiplicity 4)

---

Entry 4:
Starting from a DFT-relaxed cell (GGA-PBE, Alexandria), the XRD peak list of Ag4Ge3Te8 was computed for Cu Kα X-rays.

Peak list (10 most intense, 10 to 90 degrees two-theta, low angle first)
2θ (°)  I/Imax  h k l
21.4  24  1 1 0
24.8  20  0 0 6
26.2  29  2 0 2
29.9  100  0 2 4
38.5  16  0 2 7
41.9  70  2 0 8
43.7  65  2 2 0
53.8  18  4 0 4
62.1  20  0 4 8
79.0  19  4 2 8

Structure:
Cell lengths 8.2896, 8.2896, 21.5762 Å; angles 90.00, 90.00, 120.00 degrees
Space group R-3m (No. 166, hexagonal axes)
Unique sites:
1 Ag 0.0000 0.0000 0.0000 (multiplicity 3)
2 Ag 0.0000 0.0000 0.1335 (multiplicity 6)
3 Ag 0.0000 0.0000 0.5000 (multiplicity 3)
4 Ge 0.0000 0.5000 0.0000 (multiplicity 9)
5 Te 0.0000 0.0000 0.2585 (multiplicity 6)
6 Te 0.0202 0.5101 0.2549 (multiplicity 18)

---

Entry 5:
Starting from a DFT-relaxed cell (GGA-PBE, Alexandria), the XRD peak list of AgGe5Te6 was computed for Cu Kα X-rays.

Peak list (10 most intense, 10 to 90 degrees two-theta, low angle first)
2θ (°)  I/Imax  h k l
25.9  12  1 3 -1
29.9  100  1 3 1
30.1  49  2 0 -2
42.8  74  2 0 2
43.0  37  1 3 -3
53.2  29  0 0 4
62.1  12  2 6 2
70.4  16  3 3 3
70.7  16  5 3 -3
78.5  21  6 0 -2

Structure:
Cell lengths 7.310, 12.668, 7.284 Å; angles 90.00, 109.16, 90.00 degrees
Space group C2/m (No. 12)
Unique sites:
1 Ag 0.000 0.000 0.000 (multiplicity 2)
2 Ge 0.000 0.173 0.500 (multiplicity 4)
3 Ge 0.000 0.337 0.000 (multiplicity 4)
4 Ge 0.000 0.500 0.500 (multiplicity 2)
5 Te 0.249 0.333 0.748 (multiplicity 8)
6 Te 0.250 0.000 0.753 (multiplicity 4)

---

Entry 6:
Starting from a DFT-relaxed cell (GGA-PBE, Alexandria), the XRD peak list of Ag2GeTe2 was computed for Cu Kα X-rays.

Peak list (10 most intense, 10 to 90 degrees two-theta, low angle first)
2θ (°)  I/Imax  h k l
11.4  26  2 0 0
22.9  39  4 0 0
23.3  93  1 1 1
24.9  67  2 0 -2
34.6  79  5 1 0
36.2  31  3 1 2
37.7  65  5 1 1
38.3  70  0 2 0
39.9  34  6 0 -2
40.2  100  1 1 -3

Structure:
Cell lengths 15.614, 4.697, 7.667 Å; angles 90.00, 96.36, 90.00 degrees
Space group C2/m (No. 12)
Unique sites:
1 Ag 0.027 0.000 0.204 (multiplicity 4)
2 Ag 0.092 0.500 0.719 (multiplicity 4)
3 Ge 0.189 0.000 0.576 (multiplicity 4)
4 Te 0.115 0.500 0.352 (multiplicity 4)
5 Te 0.148 0.000 0.916 (multiplicity 4)

---

Entry 7:
Starting from a DFT-relaxed cell (GGA-PBE, Alexandria), the XRD peak list of Ag4GeTe3 was computed for Cu Kα X-rays.

Peak list (10 most intense, 10 to 90 degrees two-theta, low angle first)
2θ (°)  I/Imax  h k l
13.6  42  2 0 0
23.8  45  3 1 0
29.2  100  2 2 -1
35.4  87  4 0 2
37.6  48  4 2 -1
38.7  49  0 2 3
41.1  39  2 0 -4
42.4  38  3 3 0
42.9  49  1 3 2
44.7  38  6 0 -2

Structure:
Cell lengths 13.072, 7.335, 9.074 Å; angles 90.00, 95.14, 90.00 degrees
Space group Cc (No. 9)
Unique sites:
1 Ag 0.000 0.145 0.000 (multiplicity 4)
2 Ag 0.005 0.331 0.435 (multiplicity 4)
3 Ag 0.126 0.344 0.797 (multiplicity 4)
4 Ag 0.408 0.345 0.180 (multiplicity 4)
5 Ge 0.293 0.214 0.397 (multiplicity 4)
6 Te 0.095 0.045 0.286 (multiplicity 4)
7 Te 0.224 0.493 0.557 (multiplicity 4)
8 Te 0.404 0.048 0.625 (multiplicity 4)

---

Entry 8:
Starting from a DFT-relaxed cell (GGA-PBE, Alexandria), the XRD peak list of Tl2AgGeTe4 was computed for Cu Kα X-rays.

Peak list (10 most intense, 10 to 90 degrees two-theta, low angle first)
2θ (°)  I/Imax  h k l
25.9  31  1 1 0
26.3  31  1 0 1
26.5  100  2 0 -1
26.7  22  0 1 1
27.5  31  1 -2 1
30.7  49  0 0 2
30.9  26  0 2 0
32.7  43  2 -2 0
33.5  26  1 2 -2
40.7  29  2 0 1

Structure:
Cell lengths 6.932, 6.937, 7.214 Å; angles 112.27, 110.20, 104.24 degrees
Space group P1 (No. 1)
Unique sites:
1 Tl 0.000 0.000 0.000 (multiplicity 1)
2 Tl 0.372 0.875 0.500 (multiplicity 1)
3 Ag 0.602 0.603 0.000 (multiplicity 1)
4 Ge 0.866 0.367 0.500 (multiplicity 1)
5 Te 0.258 0.367 0.541 (multiplicity 1)
6 Te 0.525 0.999 0.108 (multiplicity 1)
7 Te 0.820 0.716 0.458 (multiplicity 1)
8 Te 0.891 0.418 0.892 (multiplicity 1)

---

Entry 9:
Starting from a DFT-relaxed cell (GGA-PBE, Alexandria), the XRD peak list of Tm8AgGe3Te4 was computed for Cu Kα X-rays.

Peak list (10 most intense, 10 to 90 degrees two-theta, low angle first)
2θ (°)  I/Imax  h k l
25.9  7  2 0 2
29.9  100  0 2 4
42.5  35  2 0 8
43.1  38  2 2 0
53.3  19  4 0 4
62.1  11  0 4 8
70.0  13  2 2 12
70.9  16  2 4 4
78.6  11  4 2 8
79.0  6  6 0 0

Structure:
Cell lengths 8.3955, 8.3955, 21.0004 Å; angles 90.00, 90.00, 120.00 degrees
Space group R-3m (No. 166, hexagonal axes)
Unique sites:
1 Tm 0.0000 0.0000 0.2388 (multiplicity 6)
2 Tm 0.0111 0.5056 0.7586 (multiplicity 18)
3 Ag 0.0000 0.0000 0.5000 (multiplicity 3)
4 Ge 0.0000 0.5000 0.5000 (multiplicity 9)
5 Te 0.0000 0.0000 0.0000 (multiplicity 3)
6 Te 0.0000 0.5000 0.0000 (multiplicity 9)

---

Entry 10:
Starting from a DFT-relaxed cell (GGA-PBE, Alexandria), the XRD peak list of YAgGe was computed for Cu Kα X-rays.

Peak list (10 most intense, 10 to 90 degrees two-theta, low angle first)
2θ (°)  I/Imax  h k l
32.7  100  1 1 1
35.9  94  2 0 1
38.3  57  2 1 0
42.8  34  0 0 2
43.7  26  3 0 0
44.1  33  2 1 1
57.8  12  3 1 1
58.7  31  2 1 2
62.8  17  3 0 2
69.6  28  3 2 1

Structure:
Cell lengths 7.1766, 7.1766, 4.2300 Å; angles 90.00, 90.00, 120.00 degrees
Space group P-62m (No. 189)
Unique sites:
1 Y 0.0000 0.5839 0.0000 (multiplicity 3)
2 Ag 0.0000 0.2504 0.5000 (multiplicity 3)
3 Ge 0.0000 0.0000 0.0000 (multiplicity 1)
4 Ge 0.3333 0.6667 0.5000 (multiplicity 2)

---

Entry 11:
Starting from a DFT-relaxed cell (GGA-PBE, Alexandria), the XRD peak list of YAgGe was computed for Cu Kα X-rays.

Peak list (10 most intense, 10 to 90 degrees two-theta, low angle first)
2θ (°)  I/Imax  h k l
12.3  31  0 0 1
32.4  77  1 1 1
32.7  13  1 0 2
37.5  23  0 0 3
39.2  100  1 1 2
42.7  53  2 0 0
58.2  25  2 0 3
62.0  17  2 2 0
71.7  14  3 1 1
75.9  27  3 1 2

Structure:
Cell lengths 4.232, 4.232, 7.188 Å; angles 90.00, 90.00, 90.00 degrees
Space group P4/nmm (No. 129, origin choice 2)
Unique sites:
1 Y 0.250 0.250 0.172 (multiplicity 2)
2 Ag 0.250 0.750 0.500 (multiplicity 2)
3 Ge 0.250 0.250 0.760 (multiplicity 2)

---

Entry 12:
Starting from a DFT-relaxed cell (GGA-PBE, Alexandria), the XRD peak list of Zn8Ag4Ge was computed for Cu Kα X-rays.

Peak list (10 most intense, 10 to 90 degrees two-theta, low angle first)
2θ (°)  I/Imax  h k l
37.4  100  1 1 3
41.2  88  1 1 4
45.0  31  0 0 7
45.2  33  0 2 0
46.6  30  2 0 0
65.7  19  0 2 7
66.8  17  2 0 7
67.0  19  2 2 0
80.8  11  1 3 4
84.4  18  2 2 7

Structure:
Cell lengths 3.898, 4.009, 14.089 Å; angles 90.00, 90.00, 90.00 degrees
Space group Pmm2 (No. 25)
Unique sites:
1 Zn 0.000 0.000 0.000 (multiplicity 1)
2 Zn 0.000 0.000 0.278 (multiplicity 1)
3 Zn 0.000 0.500 0.144 (multiplicity 1)
4 Zn 0.000 0.500 0.568 (multiplicity 1)
5 Zn 0.500 0.000 0.570 (multiplicity 1)
6 Zn 0.500 0.000 0.859 (multiplicity 1)
7 Zn 0.500 0.500 0.001 (multiplicity 1)
8 Zn 0.500 0.500 0.709 (multiplicity 1)
9 Ag 0.000 0.000 0.712 (multiplicity 1)
10 Ag 0.000 0.500 0.861 (multiplicity 1)
11 Ag 0.500 0.000 0.139 (multiplicity 1)
12 Ag 0.500 0.500 0.292 (multiplicity 1)
13 Ge 0.000 0.000 0.454 (multiplicity 1)

---

Entry 13:
Starting from a DFT-relaxed cell (GGA-PBE, Alexandria), the XRD peak list of AgH was computed for Cu Kα X-rays.

Peak list (10 most intense, 10 to 90 degrees two-theta, low angle first)
2θ (°)  I/Imax  h k l
20.6  58  0 1 1
26.7  52  1 1 1
30.0  55  1 0 2
34.4  100  1 1 2
35.7  89  0 2 1
38.0  67  2 1 0
39.7  45  1 2 1
40.1  75  2 1 1
41.2  43  1 0 3
44.7  46  1 1 3

Structure:
Cell lengths 5.279, 5.360, 7.215 Å; angles 90.00, 90.00, 90.00 degrees
Space group P2_12_12_1 (No. 19)
Unique sites:
1 Ag 0.138 0.133 0.076 (multiplicity 4)
2 Ag 0.142 0.396 0.724 (multiplicity 4)
3 H 0.207 0.046 0.758 (multiplicity 4)
4 H 0.220 0.541 0.482 (multiplicity 4)